YErSc2Sb2: calculated powder XRD pattern (Cu Kα (λ = 1.5418 Å)), based on DFT lattice parameters and positions (PBE).

abc: 4.333 4.333 16.246
angles: 90.00 90.00 90.00
Atoms (fractional coordinates):
Y  0.000  0.000  0.000
Y  0.500  0.500  0.500
Er  0.000  0.000  0.352
Er  0.500  0.500  0.852
Sc  0.000  0.500  0.177
Sc  0.000  0.500  0.677
Sc  0.500  0.000  0.177
Sc  0.500  0.000  0.677
Sb  0.000  0.000  0.545
Sb  0.000  0.000  0.808
Sb  0.500  0.500  0.045
Sb  0.500  0.500  0.308

Main lines, in order of rising 2θ (2θ = 10–90°):
two_theta  I (rel.)  hkl
29.15  93  1 1 0
31.20  69  1 1 2
33.08  31  0 0 6
34.50  75  1 0 5
36.75  100  1 1 4
41.69  73  2 0 0
54.23  30  2 0 6
55.17  58  2 1 5